Record 1
Calculated PXRD pattern of Er2Pb2O7 for CuKα, from a PBE-relaxed structure.

Cell and atoms:
Lattice parameters (Å, degrees): 7.585 7.585 7.585 60.00 60.00 60.00
Positions (direct):
Er: 0.000 0.000 0.000
Er: 0.000 0.000 0.500
Er: 0.000 0.500 0.000
Er: 0.500 0.000 0.000
Pb: 0.000 0.500 0.500
Pb: 0.500 0.000 0.500
Pb: 0.500 0.500 0.000
Pb: 0.500 0.500 0.500
O: 0.125 0.125 0.125
O: 0.149 0.149 0.601
O: 0.149 0.601 0.149
O: 0.149 0.601 0.601
O: 0.399 0.399 0.851
O: 0.399 0.851 0.399
O: 0.399 0.851 0.851
O: 0.601 0.149 0.149
O: 0.601 0.149 0.601
O: 0.601 0.601 0.149
O: 0.851 0.399 0.399
O: 0.851 0.399 0.851
O: 0.851 0.851 0.399
O: 0.875 0.875 0.875

Top 6 peaks for 10° ≤ 2θ ≤ 90°, in order of falling intensity:
| 2theta | I_rel |
| --- | --- |
| 28.83 | 100.0 |
| 47.98 | 48.0 |
| 56.95 | 45.8 |
| 33.42 | 36.9 |
| 77.59 | 19.0 |
| 89.53 | 16.0 |

Record 2
Calculated PXRD pattern of PmErO3 for CuKα, from a PBE-relaxed structure.

Cell and atoms:
Lattice parameters (Å, degrees): 4.266 4.266 4.266 90.00 90.00 90.00
Positions (direct):
Pm: 0.000 0.000 0.000
Er: 0.500 0.500 0.500
O: 0.000 0.500 0.500
O: 0.500 0.000 0.500
O: 0.500 0.500 0.000

Top 6 peaks for 10° ≤ 2θ ≤ 90°, in order of falling intensity:
| 2theta | I_rel |
| --- | --- |
| 29.61 | 100.0 |
| 52.54 | 41.6 |
| 42.37 | 28.2 |
| 85.08 | 21.7 |
| 69.70 | 18.0 |
| 61.47 | 18.0 |